Record 1
Structure and computed XRD peak list of LiFe2B2O6 (a crystal structure in the Materials Project, relaxed with PBE+U; Cu Ka).
No peak broadening, texture or thermal motion is included.

Top 10 peaks for 2θ = 10–90°, low angle first:
| 2θ (°) | d (Å) | I_rel | (hkl) |
| --- | --- | --- | --- |
| 19.6 | 4.529 | 78 | 0 2 -1 |
| 21.4 | 4.155 | 78 | -1 1 1 |
| 21.6 | 4.111 | 74 | 1 1 -2 |
| 26.0 | 3.430 | 71 | 1 1 1 |
| 26.5 | 3.368 | 28 | -1 1 2 |
| 33.7 | 2.657 | 32 | 2 0 -1 |
| 34.0 | 2.640 | 35 | 1 -3 1 |
| 34.4 | 2.610 | 36 | 1 3 -2 |
| 35.7 | 2.517 | 100 | 0 0 4 |
| 49.7 | 1.833 | 28 | -1 1 5 |

Structural model:
Cell: 5.316 9.059 11.246 Å, 113.06 101.92 90.75°
Element x y z (fractional)
1 Li 0.000 0.000 0.000
2 Li 0.052 0.365 0.742
3 Li 0.555 0.859 0.733
4 Li 0.807 0.115 0.251
5 Fe 0.014 0.340 0.018
6 Fe 0.068 0.718 0.765
7 Fe 0.255 0.918 0.513
8 Fe 0.319 0.293 0.271
9 Fe 0.510 0.829 0.023
10 Fe 0.557 0.222 0.771
11 Fe 0.754 0.420 0.515
12 Fe 0.805 0.782 0.278
13 B 0.007 0.675 0.018
14 B 0.062 0.050 0.776
15 B 0.270 0.588 0.523
16 B 0.301 0.962 0.269
17 B 0.519 0.164 0.017
18 B 0.558 0.549 0.770
19 B 0.766 0.087 0.527
20 B 0.815 0.449 0.268
21 O 0.025 0.407 0.208
22 O 0.039 0.582 0.562
23 O 0.097 0.530 0.997
24 O 0.134 0.787 0.985
25 O 0.164 0.082 0.252
26 O 0.209 0.860 0.319
27 O 0.277 0.191 0.045
28 O 0.289 0.024 0.731
29 O 0.382 0.734 0.541
30 O 0.391 0.449 0.477
31 O 0.416 0.422 0.768
32 O 0.477 0.706 0.819
33 O 0.535 0.083 0.566
34 O 0.538 0.935 0.228
35 O 0.642 0.036 0.032
36 O 0.645 0.264 0.977
37 O 0.698 0.582 0.281
38 O 0.724 0.336 0.314
39 O 0.787 0.530 0.724
40 O 0.790 0.719 0.068
41 O 0.871 0.229 0.531
42 O 0.891 0.949 0.489
43 O 0.930 0.930 0.794
44 O 0.971 0.203 0.810


Record 2
Structure and computed XRD peak list of LiFe2B2O6 (a crystal structure in the Materials Project, relaxed with PBE+U; Cu Ka).
No peak broadening, texture or thermal motion is included.

Top 10 peaks for 2θ = 10–90°, low angle first:
| 2θ (°) | d (Å) | I_rel | (hkl) |
| --- | --- | --- | --- |
| 19.5 | 4.549 | 100 | 1 -1 0 |
| 21.4 | 4.149 | 83 | 0 2 1 |
| 21.5 | 4.132 | 40 | 1 1 1 |
| 26.2 | 3.407 | 60 | 1 1 -2 |
| 26.4 | 3.374 | 39 | 1 1 2 |
| 34.1 | 2.631 | 55 | 1 -3 0 |
| 34.2 | 2.620 | 26 | 2 0 0 |
| 35.3 | 2.542 | 80 | 0 0 4 |
| 40.7 | 2.219 | 50 | 2 2 -1 |
| 49.3 | 1.850 | 26 | 1 1 5 |

Structural model:
Cell: 5.240 9.126 10.167 Å, 90.60 90.24 90.09°
Element x y z (fractional)
1 Li 0.000 0.000 0.000
2 Li 0.029 0.993 0.504
3 Li 0.353 0.344 0.219
4 Li 0.533 0.498 0.493
5 Fe 0.010 0.660 0.966
6 Fe 0.031 0.333 0.466
7 Fe 0.353 0.679 0.716
8 Fe 0.366 0.004 0.217
9 Fe 0.508 0.181 0.963
10 Fe 0.537 0.829 0.463
11 Fe 0.837 0.521 0.218
12 Fe 0.855 0.181 0.719
13 B 0.021 0.340 0.970
14 B 0.023 0.669 0.471
15 B 0.341 0.672 0.213
16 B 0.359 0.009 0.710
17 B 0.516 0.838 0.966
18 B 0.524 0.169 0.460
19 B 0.854 0.507 0.715
20 B 0.867 0.178 0.213
21 O 0.012 0.616 0.769
22 O 0.015 0.057 0.189
23 O 0.101 0.674 0.155
24 O 0.103 0.032 0.693
25 O 0.272 0.338 0.997
26 O 0.277 0.656 0.516
27 O 0.361 0.728 0.913
28 O 0.391 0.041 0.420
29 O 0.391 0.964 0.015
30 O 0.408 0.303 0.450
31 O 0.448 0.804 0.258
32 O 0.464 0.876 0.672
33 O 0.466 0.544 0.234
34 O 0.513 0.119 0.761
35 O 0.602 0.170 0.188
36 O 0.605 0.533 0.690
37 O 0.773 0.156 0.510
38 O 0.775 0.826 0.968
39 O 0.873 0.465 0.995
40 O 0.895 0.211 0.920
41 O 0.895 0.542 0.431
42 O 0.910 0.803 0.467
43 O 0.964 0.375 0.677
44 O 0.973 0.309 0.256


Record 3
Structure and computed XRD peak list of LiFe2B2O6 (a crystal structure in the Materials Project, relaxed with PBE+U; Cu Ka).
No peak broadening, texture or thermal motion is included.

Top 10 peaks for 2θ = 10–90°, low angle first:
| 2θ (°) | d (Å) | I_rel | (hkl) |
| --- | --- | --- | --- |
| 19.4 | 4.577 | 31 | 1 1 1 |
| 19.6 | 4.538 | 51 | 1 -1 0 |
| 21.4 | 4.143 | 100 | 1 1 2 |
| 25.9 | 3.441 | 48 | 0 2 -1 |
| 33.8 | 2.650 | 19 | 1 3 2 |
| 34.1 | 2.628 | 48 | 2 0 1 |
| 35.2 | 2.546 | 66 | 0 0 4 |
| 40.7 | 2.215 | 20 | -2 2 1 |
| 49.4 | 1.846 | 21 | 1 1 6 |
| 60.7 | 1.526 | 19 | 3 3 3 |

Structural model:
Cell: 5.253 9.162 11.368 Å, 67.42 76.87 89.45°
Element x y z (fractional)
1 Li 0.000 0.000 0.000
2 Li 0.025 0.029 0.259
3 Li 0.262 0.247 0.501
4 Li 0.794 0.767 0.758
5 Fe 0.041 0.346 0.973
6 Fe 0.051 0.704 0.230
7 Fe 0.269 0.922 0.477
8 Fe 0.310 0.621 0.725
9 Fe 0.518 0.833 0.980
10 Fe 0.554 0.219 0.222
11 Fe 0.755 0.437 0.475
12 Fe 0.794 0.133 0.726
13 B 0.027 0.681 0.966
14 B 0.051 0.377 0.229
15 B 0.259 0.586 0.475
16 B 0.303 0.960 0.721
17 B 0.521 0.166 0.979
18 B 0.554 0.889 0.221
19 B 0.771 0.101 0.470
20 B 0.814 0.465 0.727
21 O 0.043 0.624 0.419
22 O 0.046 0.450 0.768
23 O 0.122 0.773 0.026
24 O 0.155 0.086 0.717
25 O 0.189 0.579 0.926
26 O 0.208 0.841 0.689
27 O 0.257 0.160 0.986
28 O 0.303 0.357 0.241
29 O 0.338 0.687 0.529
30 O 0.380 0.453 0.481
31 O 0.416 0.999 0.263
32 O 0.418 0.792 0.184
33 O 0.531 0.126 0.433
34 O 0.546 0.950 0.753
35 O 0.642 0.256 0.029
36 O 0.670 0.592 0.725
37 O 0.684 0.071 0.925
38 O 0.734 0.354 0.685
39 O 0.785 0.701 0.941
40 O 0.823 0.884 0.210
41 O 0.856 0.200 0.525
42 O 0.913 0.493 0.258
43 O 0.922 0.989 0.448
44 O 0.928 0.273 0.191


Record 4
Structure and computed XRD peak list of LiFe2B2O6 (a crystal structure in the Materials Project, relaxed with PBE+U; Cu Ka).
No peak broadening, texture or thermal motion is included.

Top 10 peaks for 2θ = 10–90°, low angle first:
| 2θ (°) | d (Å) | I_rel | (hkl) |
| --- | --- | --- | --- |
| 19.6 | 4.534 | 98 | 1 -1 0 |
| 21.4 | 4.156 | 25 | -1 1 1 |
| 21.5 | 4.126 | 100 | 1 1 2 |
| 26.1 | 3.417 | 28 | 1 1 -1 |
| 26.2 | 3.396 | 31 | 0 2 -1 |
| 34.2 | 2.621 | 31 | 2 0 1 |
| 34.3 | 2.616 | 54 | -1 3 1 |
| 35.2 | 2.547 | 84 | 0 0 4 |
| 38.4 | 2.342 | 23 | 1 3 0 |
| 40.7 | 2.215 | 34 | 0 4 1 |

Structural model:
Cell: 5.242 9.059 11.395 Å, 66.93 77.42 89.89°
Element x y z (fractional)
1 Li 0.000 0.000 0.000
2 Li 0.017 0.029 0.272
3 Li 0.742 0.736 0.522
4 Li 0.785 0.763 0.781
5 Fe 0.011 0.345 0.994
6 Fe 0.021 0.701 0.248
7 Fe 0.249 0.931 0.501
8 Fe 0.301 0.611 0.748
9 Fe 0.504 0.819 0.008
10 Fe 0.538 0.213 0.248
11 Fe 0.752 0.416 0.491
12 Fe 0.782 0.120 0.749
13 B 0.005 0.669 0.991
14 B 0.043 0.369 0.248
15 B 0.258 0.588 0.493
16 B 0.278 0.950 0.754
17 B 0.505 0.167 0.999
18 B 0.534 0.887 0.243
19 B 0.744 0.086 0.494
20 B 0.806 0.460 0.740
21 O 0.005 0.599 0.465
22 O 0.011 0.427 0.803
23 O 0.105 0.773 0.037
24 O 0.120 0.063 0.776
25 O 0.159 0.553 0.965
26 O 0.183 0.841 0.711
27 O 0.241 0.173 0.004
28 O 0.301 0.365 0.244
29 O 0.349 0.700 0.534
30 O 0.385 0.998 0.282
31 O 0.407 0.467 0.487
32 O 0.410 0.785 0.206
33 O 0.525 0.122 0.443
34 O 0.531 0.940 0.776
35 O 0.636 0.256 0.047
36 O 0.652 0.067 0.947
37 O 0.688 0.601 0.720
38 O 0.723 0.350 0.695
39 O 0.762 0.680 0.966
40 O 0.800 0.890 0.237
41 O 0.827 0.185 0.550
42 O 0.878 0.959 0.485
43 O 0.889 0.464 0.299
44 O 0.923 0.269 0.203